This entry pairs a crystal structure of Li5Sm2Cd12 with its calculated XRD peak list. Radiation: Cu Kα (λ = 1.5418 Å). Structure: a PBE-relaxed structure.
No peak broadening, texture or thermal motion is included.

Main lines, in order of rising 2θ (2θ = 5–70°):
| 2θ/deg | d/Å | I (rel.) |
| --- | --- | --- |
| 12.03 | 7.355 | 17 |
| 24.20 | 3.677 | 26 |
| 28.36 | 3.147 | 28 |
| 31.47 | 2.843 | 27 |
| 32.38 | 2.765 | 49 |
| 36.49 | 2.462 | 21 |
| 36.66 | 2.452 | 100 |
| 37.15 | 2.420 | 31 |
| 41.13 | 2.195 | 26 |
| 59.46 | 1.555 | 16 |

Crystal structure
Lattice parameters (Å, degrees): 7.468 7.468 7.468 82.51 82.51 82.51
Fractional coordinates of all 19 atoms:
Li (0.000, 0.000, 0.500)
Li (0.000, 0.500, 0.000)
Li (0.099, 0.099, 0.099)
Li (0.500, 0.000, 0.000)
Li (0.901, 0.901, 0.901)
Sm (0.345, 0.345, 0.345)
Sm (0.655, 0.655, 0.655)
Cd (0.000, 0.297, 0.703)
Cd (0.000, 0.703, 0.297)
Cd (0.141, 0.655, 0.655)
Cd (0.297, 0.000, 0.703)
Cd (0.297, 0.703, 0.000)
Cd (0.345, 0.345, 0.859)
Cd (0.345, 0.859, 0.345)
Cd (0.655, 0.141, 0.655)
Cd (0.655, 0.655, 0.141)
Cd (0.703, 0.000, 0.297)
Cd (0.703, 0.297, 0.000)
Cd (0.859, 0.345, 0.345)